The following is a computed X-ray powder pattern of SmSnPt. It was derived from the GGA-PBE geometry in the Materials Project, using Cu Kα.

Peak list (10 most intense, 2θ from 5° to 70°, most intense first)
- 34.94 deg, d 2.568, intensity 100.0, (2 0 1)
- 32.09 deg, d 2.789, intensity 76.9, (1 1 1)
- 41.16 deg, d 2.193, intensity 45.1, (3 0 0)
- 42.49 deg, d 2.128, intensity 40.7, (2 1 1)
- 65.92 deg, d 1.417, intensity 33.9, (3 2 1)
- 36.12 deg, d 2.487, intensity 32.8, (2 1 0)
- 44.08 deg, d 2.054, intensity 28.3, (0 0 2)
- 61.88 deg, d 1.499, intensity 27.6, (3 0 2)
- 58.25 deg, d 1.584, intensity 16.8, (2 1 2)
- 23.42 deg, d 3.799, intensity 15.3, (1 1 0)

a = 7.5980 Å, b = 7.5980 Å, c = 4.1088 Å
α = 90.00°, β = 90.00°, γ = 120.00°
Space group P-62m (No. 189)
Symmetry-distinct sites (fractional):
Sm1 0.0000 0.4081 0.0000 x3
Sn1 0.0000 0.7444 0.5000 x3
Pt1 0.0000 0.0000 0.0000 x1
Pt2 0.3333 0.6667 0.5000 x2